Diffraction record for Nd4Tl3. The powder X-ray diffraction pattern is calculated, not measured: it uses DFT lattice parameters and positions (GGA-PBE) and λ = 1.5418 Å (Cu Kα).
Peak positions follow from Bragg's law for the DFT cell and can differ from measured ones.

Peak list (8 most intense, 10° ≤ 2θ ≤ 80°, by intensity)
2θ 32.90, intensity 100; 2θ 33.03, intensity 96; 2θ 58.79, intensity 57; 2θ 47.31, intensity 36; 2θ 59.06, intensity 17; 2θ 78.64, intensity 16; 2θ 78.85, intensity 15; 2θ 68.99, intensity 12

Cell: 9.384 9.384 9.384 Å, 33.73 33.73 33.73°
Fractional positions:
Nd: 0.119 0.119 0.119
Nd: 0.372 0.372 0.372
Nd: 0.628 0.628 0.628
Nd: 0.881 0.881 0.881
Tl: 0.250 0.250 0.250
Tl: 0.500 0.500 0.500
Tl: 0.750 0.750 0.750

---

Diffraction record for KPaPdS4. The powder X-ray diffraction pattern is calculated, not measured: it uses DFT lattice parameters and positions (GGA-PBE) and λ = 1.5418 Å (Cu Kα).
Peak positions follow from Bragg's law for the DFT cell and can differ from measured ones.

Peak list (8 most intense, 10° ≤ 2θ ≤ 80°, by intensity)
2θ 10.15, intensity 100; 2θ 18.94, intensity 23; 2θ 26.13, intensity 23; 2θ 32.63, intensity 21; 2θ 32.20, intensity 19; 2θ 32.99, intensity 16; 2θ 37.97, intensity 13; 2θ 43.07, intensity 13

Cell: 6.782 5.560 9.217 Å, 90.00 109.06 90.00°
Fractional positions:
K: 0.235 0.250 0.449
K: 0.765 0.750 0.551
Pa: 0.225 0.250 0.942
Pa: 0.775 0.750 0.058
Pd: 0.287 0.750 0.191
Pd: 0.713 0.250 0.809
S: 0.041 0.750 0.330
S: 0.073 0.750 0.923
S: 0.460 0.543 0.804
S: 0.460 0.957 0.804
S: 0.540 0.043 0.196
S: 0.540 0.457 0.196
S: 0.927 0.250 0.077
S: 0.959 0.250 0.670

---

Diffraction record for PmCd5Au6. The powder X-ray diffraction pattern is calculated, not measured: it uses DFT lattice parameters and positions (GGA-PBE) and λ = 1.5418 Å (Cu Kα).
Peak positions follow from Bragg's law for the DFT cell and can differ from measured ones.

Peak list (8 most intense, 10° ≤ 2θ ≤ 80°, by intensity)
2θ 36.84, intensity 100; 2θ 36.15, intensity 37; 2θ 36.39, intensity 36; 2θ 37.87, intensity 33; 2θ 51.38, intensity 13; 2θ 65.79, intensity 12; 2θ 53.07, intensity 12; 2θ 66.81, intensity 11

Cell: 4.877 7.114 7.470 Å, 90.24 107.43 90.21°
Fractional positions:
Pm: 0.000 0.000 0.000
Cd: 0.000 0.500 0.000
Cd: 0.356 0.998 0.663
Cd: 0.370 0.504 0.675
Cd: 0.630 0.496 0.325
Cd: 0.644 0.002 0.337
Au: 0.138 0.260 0.344
Au: 0.138 0.738 0.340
Au: 0.497 0.256 0.995
Au: 0.503 0.744 0.005
Au: 0.862 0.262 0.660
Au: 0.862 0.740 0.656

---

Diffraction record for Sm3ErHg2C. The powder X-ray diffraction pattern is calculated, not measured: it uses DFT lattice parameters and positions (GGA-PBE) and λ = 1.5418 Å (Cu Kα).
Peak positions follow from Bragg's law for the DFT cell and can differ from measured ones.

Peak list (8 most intense, 10° ≤ 2θ ≤ 80°, by intensity)
2θ 34.88, intensity 100; 2θ 28.01, intensity 51; 2θ 35.37, intensity 32; 2θ 36.95, intensity 28; 2θ 25.36, intensity 22; 2θ 52.07, intensity 21; 2θ 65.24, intensity 17; 2θ 63.17, intensity 17

Cell: 4.866 5.076 15.117 Å, 90.00 90.00 90.00°
Fractional positions:
Sm: 0.000 0.000 0.000
Sm: 0.000 0.500 0.167
Sm: 0.000 0.500 0.833
Sm: 0.500 0.000 0.333
Sm: 0.500 0.000 0.667
Sm: 0.500 0.500 0.500
Er: 0.000 0.000 0.500
Er: 0.500 0.500 0.000
Hg: 0.000 0.500 0.370
Hg: 0.000 0.500 0.630
Hg: 0.500 0.000 0.130
Hg: 0.500 0.000 0.870
C: 0.000 0.500 0.000
C: 0.500 0.000 0.500

---

Diffraction record for Tm4ThGe4. The powder X-ray diffraction pattern is calculated, not measured: it uses DFT lattice parameters and positions (GGA-PBE) and λ = 1.5418 Å (Cu Kα).
Peak positions follow from Bragg's law for the DFT cell and can differ from measured ones.

Peak list (8 most intense, 10° ≤ 2θ ≤ 80°, by intensity)
2θ 30.61, intensity 100; 2θ 44.31, intensity 73; 2θ 26.61, intensity 71; 2θ 31.25, intensity 48; 2θ 54.81, intensity 38; 2θ 43.83, intensity 37; 2θ 52.02, intensity 23; 2θ 73.72, intensity 17

Cell: 7.131 7.131 7.131 Å, 99.27 99.27 132.67°
Fractional positions:
Tm: 0.104 0.311 0.414
Tm: 0.311 0.896 0.207
Tm: 0.689 0.104 0.793
Tm: 0.896 0.689 0.586
Th: 0.500 0.500 0.000
Ge: 0.199 0.608 0.807
Ge: 0.392 0.199 0.592
Ge: 0.608 0.801 0.408
Ge: 0.801 0.392 0.193

---

Diffraction record for ErTmAl2. The powder X-ray diffraction pattern is calculated, not measured: it uses DFT lattice parameters and positions (GGA-PBE) and λ = 1.5418 Å (Cu Kα).
Peak positions follow from Bragg's law for the DFT cell and can differ from measured ones.

Peak list (7 most intense, 10° ≤ 2θ ≤ 80°, by intensity)
2θ 35.71, intensity 100; 2θ 25.04, intensity 64; 2θ 64.15, intensity 36; 2θ 57.99, intensity 26; 2θ 44.11, intensity 19; 2θ 51.39, intensity 18; 2θ 75.64, intensity 11

Cell: 3.555 3.555 7.118 Å, 90.00 90.00 90.00°
Fractional positions:
Er: 0.000 0.000 0.000
Tm: 0.000 0.000 0.500
Al: 0.500 0.500 0.252
Al: 0.500 0.500 0.748